PmFe9Si4: theoretical X-ray diffraction stick pattern (Cu Kα (λ = 1.5418 Å)), based on a crystal structure in Alexandria, relaxed with PBE.
Lines closer than 0.1° are merged.

Principal peaks in the range 10° ≤ 2θ ≤ 90°, low angle first:
two_theta  Rel. int.  (hkl)
31.11  15.7  0 0 4
35.19  23.1  1 1 4
36.08  23.8  2 2 2
36.37  17.0  3 1 0
38.90  26.8  2 0 4
39.71  100.0  3 1 2
47.32  30.3  2 1 5
48.25  36.3  3 2 3
48.71  21.7  4 1 1
57.01  13.4  4 0 4

```
data_PmFe9Si4
_cell_length_a 7.812
_cell_length_b 7.812
_cell_length_c 11.500
_cell_angle_alpha 90.00
_cell_angle_beta 90.00
_cell_angle_gamma 90.00
_space_group_name_H-M_alt 'I 4/m c m'
_space_group_IT_number 140
_space_group_name_Hall '-I 4 2c'
loop_
_atom_site_label
_atom_site_fract_x
_atom_site_fract_y
_atom_site_fract_z
Pm1 0.000 0.000 0.250
Fe1 0.000 0.500 0.000
Fe2 0.067 0.200 0.000
Fe3 0.124 0.376 0.180
Si1 0.172 0.328 0.379
```

Nd6Tl2In3: theoretical X-ray diffraction stick pattern (Cu Kα (λ = 1.5418 Å)), based on a crystal structure in Alexandria, relaxed with PBE.
Lines closer than 0.1° are merged.

Principal peaks in the range 10° ≤ 2θ ≤ 90°, low angle first:
two_theta  Rel. int.  (hkl)
20.74  19.2  1 1 0
29.50  100.0  2 0 0
32.62  78.5  1 0 7
42.21  37.9  2 2 0
44.57  50.5  2 1 7
54.33  22.5  3 0 7
63.06  17.9  3 2 7
69.40  17.2  4 2 0
71.12  14.3  4 1 7
86.31  13.7  5 0 7

```
data_Nd6Tl2In3
_cell_length_a 6.056
_cell_length_b 6.056
_cell_length_c 21.539
_cell_angle_alpha 90.00
_cell_angle_beta 90.00
_cell_angle_gamma 90.00
_space_group_name_H-M_alt 'I 4/m m m'
_space_group_IT_number 139
_space_group_name_Hall '-I 4 2'
loop_
_atom_site_label
_atom_site_fract_x
_atom_site_fract_y
_atom_site_fract_z
Nd1 0.000 0.000 0.207
Nd2 0.000 0.500 0.086
Tl1 0.000 0.000 0.067
In1 0.000 0.000 0.351
In2 0.000 0.000 0.500
```

La3Ge4Pd: theoretical X-ray diffraction stick pattern (Cu Kα (λ = 1.5418 Å)), based on a crystal structure in Alexandria, relaxed with PBE.
Lines closer than 0.1° are merged.

Principal peaks in the range 10° ≤ 2θ ≤ 90°, low angle first:
two_theta  Rel. int.  (hkl)
22.94  18.9  0 1 3
26.98  100.0  1 1 2
33.97  22.2  1 1 4
35.35  35.7  1 0 5
36.05  24.2  1 2 1
38.12  29.7  0 2 4
38.93  31.9  2 0 0
39.89  26.3  1 2 3
50.98  18.4  1 3 2
55.62  19.5  2 2 4

```
data_La3Ge4Pd
_cell_length_a 4.627
_cell_length_b 6.029
_cell_length_c 15.185
_cell_angle_alpha 90.00
_cell_angle_beta 90.00
_cell_angle_gamma 90.00
_space_group_name_H-M_alt 'I m m m'
_space_group_IT_number 71
_space_group_name_Hall '-I 2 2'
loop_
_atom_site_label
_atom_site_fract_x
_atom_site_fract_y
_atom_site_fract_z
La1 0.000 0.000 0.000
La2 0.000 0.500 0.192
Ge1 0.000 0.288 0.380
Pd1 0.000 0.000 0.500
```